Entry 1:
Simulated powder diffraction line list of LiMn2P2O8 for Cu Kα (λ = 1.5418 Å), from DFT lattice parameters and positions (GGA+U).
Kinematic intensities with the Lorentz-polarization factor, no thermal factor.

Structure:
Cell lengths 8.669, 8.669, 6.720 Å; angles 108.56, 108.56, 90.87 degrees
Fractional coordinates of all 39 atoms:
Li 0.000 0.000 0.000
Li 0.475 0.443 0.248
Li 0.557 0.525 0.752
Mn 0.088 0.353 0.884
Mn 0.284 0.716 0.500
Mn 0.407 0.040 0.396
Mn 0.647 0.912 0.116
Mn 0.744 0.256 0.000
Mn 0.960 0.593 0.604
P 0.151 0.318 0.368
P 0.317 0.683 0.000
P 0.367 0.102 0.889
P 0.682 0.849 0.632
P 0.732 0.268 0.500
P 0.898 0.633 0.111
O 0.012 0.290 0.140
O 0.020 0.644 0.342
O 0.073 0.381 0.556
O 0.195 0.148 0.888
O 0.199 0.708 0.786
O 0.202 0.145 0.354
O 0.292 0.801 0.214
O 0.296 0.445 0.412
O 0.297 0.507 0.009
O 0.356 0.980 0.658
O 0.429 0.012 0.065
O 0.490 0.257 0.962
O 0.493 0.703 0.991
O 0.555 0.704 0.588
O 0.556 0.252 0.512
O 0.619 0.927 0.444
O 0.710 0.988 0.860
O 0.743 0.510 0.038
O 0.748 0.444 0.488
O 0.755 0.150 0.287
O 0.850 0.245 0.713
O 0.852 0.805 0.112
O 0.855 0.798 0.646
O 0.988 0.571 0.935

Most intense lines, 10° ≤ 2θ ≤ 90°, by angle:
2θ/deg  d (Å)  I/Imax
14.3  6.176  100
16.4  5.421  44
21.8  4.074  19
25.7  3.469  22
28.0  3.184  64
29.8  2.998  36
33.0  2.713  56
33.4  2.683  61
34.9  2.573  24
36.2  2.482  29
41.2  2.191  27
54.7  1.678  20

---

Entry 2:
Simulated powder diffraction line list of LiMnPO4 for Cu Kα (λ = 1.5418 Å), from DFT lattice parameters and positions (GGA+U).
Kinematic intensities with the Lorentz-polarization factor, no thermal factor.

Structure:
Cell lengths 11.449, 6.206, 5.159 Å; angles 90.00, 90.00, 90.00 degrees
Fractional coordinates of all 28 atoms:
Li 0.174 0.046 0.000
Li 0.326 0.546 0.500
Li 0.674 0.454 0.000
Li 0.826 0.954 0.500
Mn 0.081 0.302 0.494
Mn 0.419 0.802 0.994
Mn 0.581 0.198 0.494
Mn 0.919 0.698 0.994
P 0.172 0.551 0.003
P 0.328 0.051 0.503
P 0.672 0.949 0.003
P 0.828 0.449 0.503
O 0.095 0.753 0.937
O 0.110 0.345 0.893
O 0.181 0.530 0.302
O 0.205 0.072 0.381
O 0.295 0.572 0.881
O 0.319 0.030 0.802
O 0.390 0.845 0.393
O 0.405 0.253 0.437
O 0.595 0.747 0.937
O 0.610 0.155 0.893
O 0.681 0.970 0.302
O 0.705 0.428 0.381
O 0.795 0.928 0.881
O 0.819 0.470 0.802
O 0.890 0.655 0.393
O 0.905 0.247 0.437

Most intense lines, 10° ≤ 2θ ≤ 90°, by angle:
2θ/deg  d (Å)  I/Imax
16.2  5.456  63
21.1  4.208  32
22.4  3.967  100
23.7  3.749  20
27.4  3.256  25
31.2  2.862  16
32.8  2.728  31
34.5  2.599  13
34.8  2.580  38
35.9  2.503  21
37.3  2.410  36
56.6  1.625  14

---

Entry 3:
Simulated powder diffraction line list of LiMnPO4 for Cu Kα (λ = 1.5418 Å), from DFT lattice parameters and positions (GGA+U).
Kinematic intensities with the Lorentz-polarization factor, no thermal factor.

Structure:
Cell lengths 10.592, 6.171, 4.795 Å; angles 90.00, 90.00, 90.00 degrees
Fractional coordinates of all 28 atoms:
Li 0.000 0.000 0.000
Li 0.000 0.500 0.000
Li 0.500 0.000 0.500
Li 0.500 0.500 0.500
Mn 0.219 0.250 0.474
Mn 0.281 0.750 0.974
Mn 0.719 0.250 0.026
Mn 0.781 0.750 0.526
P 0.092 0.750 0.410
P 0.408 0.250 0.910
P 0.592 0.750 0.090
P 0.908 0.250 0.590
O 0.044 0.250 0.711
O 0.096 0.750 0.731
O 0.161 0.549 0.277
O 0.161 0.951 0.277
O 0.339 0.049 0.777
O 0.339 0.451 0.777
O 0.404 0.250 0.231
O 0.456 0.750 0.211
O 0.544 0.250 0.789
O 0.596 0.750 0.769
O 0.661 0.549 0.223
O 0.661 0.951 0.223
O 0.839 0.049 0.723
O 0.839 0.451 0.723
O 0.904 0.250 0.269
O 0.956 0.750 0.289

Most intense lines, 10° ≤ 2θ ≤ 90°, by angle:
2θ/deg  d (Å)  I/Imax
16.7  5.296  24
20.3  4.368  57
22.1  4.019  21
25.0  3.564  85
28.9  3.085  76
31.5  2.843  24
34.7  2.582  100
35.6  2.520  30
36.9  2.433  21
51.3  1.782  41
55.1  1.667  24
60.4  1.532  28